# 1
Structure and simulated X-ray powder pattern of Ti5AlOs6 (DFT lattice parameters and positions (GGA-PBE); Cu Kα (λ = 1.5418 Å)).
Intensities are scaled so that the largest is 100.

```
12
Lattice="-2.1788 3.0781 6.5343 2.1788 -3.0781 6.5343 2.1788 3.0781 -6.5343" Properties=species:S:1:pos:R:3 pbc="T T T"
Ti 0.0000 0.0000 0.0000
Ti 2.1788 0.0000 2.1831
Ti 0.0000 0.0000 4.4029
Ti 0.0000 0.0000 8.6657
Ti 0.0000 3.0781 4.3512
Al 0.0000 3.0781 0.0000
Os 2.1788 -1.5432 4.3444
Os 2.1788 1.5262 0.0000
Os 0.0000 1.5348 2.1899
Os 2.1788 1.5432 4.3444
Os 0.0000 1.5519 6.5343
Os 0.0000 4.6213 2.1899
```

Peak list (5 most intense, 2θ from 5° to 70°, most intense first)
2θ = 41.5°, rel. 100; 2θ = 29.0°, rel. 49; 2θ = 68.1°, rel. 19; 2θ = 60.1°, rel. 17; 2θ = 51.4°, rel. 14

---

# 2
Structure and simulated X-ray powder pattern of UTiAlOs (DFT lattice parameters and positions (GGA-PBE); Cu Kα (λ = 1.5418 Å)).
Intensities are scaled so that the largest is 100.

```
4
Lattice="0.0000 3.2518 3.2518 3.2518 0.0000 3.2518 3.2518 3.2518 0.0000" Properties=species:S:1:pos:R:3 pbc="T T T"
U 0.0000 0.0000 0.0000
Ti 1.6259 1.6259 1.6259
Al 3.2518 3.2518 3.2518
Os 4.8778 4.8778 4.8778
```

Peak list (5 most intense, 2θ from 5° to 70°, most intense first)
2θ = 39.2°, rel. 100; 2θ = 23.7°, rel. 59; 2θ = 46.3°, rel. 32; 2θ = 56.6°, rel. 17; 2θ = 62.2°, rel. 14

---

# 3
Structure and simulated X-ray powder pattern of Tm3Al12Os4 (DFT lattice parameters and positions (GGA-PBE); Cu Kα (λ = 1.5418 Å)).
Intensities are scaled so that the largest is 100.

```
38
Lattice="8.7722 0.0000 0.0000 -4.3861 7.5970 0.0000 0.0000 0.0000 9.5736" Properties=species:S:1:pos:R:3 pbc="T T T"
Tm 0.0000 2.9589 2.3934
Tm -1.8236 6.1175 2.3934
Tm 2.5625 1.4795 7.1802
Tm 1.8236 6.1175 2.3934
Tm 6.2097 1.4795 7.1802
Tm 4.3861 4.6380 7.1802
Al 0.0000 0.0000 2.3934
Al 0.0000 0.0000 7.1802
Al -1.3825 4.2664 7.1802
Al 0.0000 2.4843 5.5161
Al 0.0000 2.4843 8.8443
Al -2.2346 6.3548 5.5161
Al -2.2346 6.3548 8.8443
Al 2.1515 1.2422 0.7293
Al 2.1515 1.2422 4.0575
Al 0.0000 5.0646 0.1959
Al 0.0000 5.0646 4.5909
Al 1.3825 4.2664 7.1802
Al 0.0000 6.6611 7.1802
Al 4.3861 0.9359 2.3934
Al 3.0036 3.3305 2.3934
Al 4.3861 2.5323 4.9827
Al 4.3861 2.5323 9.3777
Al 2.2346 6.3548 5.5161
Al 2.2346 6.3548 8.8443
Al 6.6207 1.2422 0.7293
Al 6.6207 1.2422 4.0575
Al 4.3861 5.1126 0.7293
Al 4.3861 5.1126 4.0575
Al 5.7686 3.3305 2.3934
Os 0.0000 0.0000 0.0000
Os 0.0000 0.0000 4.7868
Os -2.1931 3.7985 0.0000
Os -2.1931 3.7985 4.7868
Os 4.3861 0.0000 0.0000
Os 4.3861 0.0000 4.7868
Os 2.1931 3.7985 0.0000
Os 2.1931 3.7985 4.7868
```

Peak list (12 most intense, 2θ from 5° to 70°, most intense first)
2θ = 30.0°, rel. 100; 2θ = 41.2°, rel. 53; 2θ = 36.8°, rel. 38; 2θ = 23.4°, rel. 30; 2θ = 57.0°, rel. 29; 2θ = 37.6°, rel. 24; 2θ = 25.2°, rel. 23; 2θ = 51.8°, rel. 19; 2θ = 68.2°, rel. 18; 2θ = 63.2°, rel. 18; 2θ = 14.9°, rel. 17; 2θ = 44.8°, rel. 17

---

# 4
Structure and simulated X-ray powder pattern of Tm3AlOs (DFT lattice parameters and positions (GGA-PBE); Cu Kα (λ = 1.5418 Å)).
Intensities are scaled so that the largest is 100.

```
10
Lattice="0.0000 4.6489 7.9145 3.1890 0.0000 7.9145 3.1890 4.6489 0.0000" Properties=species:S:1:pos:R:3 pbc="T T T"
Tm 3.1890 4.6489 3.1335
Tm 3.1890 2.9007 6.2188
Tm 3.1890 2.9007 9.6102
Tm 3.1890 6.3970 6.2188
Tm 3.1890 6.3970 9.6102
Tm 3.1890 4.6489 12.6954
Al 5.1199 4.6489 7.9145
Al 1.2581 4.6489 7.9145
Os 1.5945 2.3244 3.9572
Os 4.7835 6.9733 11.8717
```

Peak list (12 most intense, 2θ from 5° to 70°, most intense first)
2θ = 11.2°, rel. 100; 2θ = 36.0°, rel. 86; 2θ = 41.2°, rel. 69; 2θ = 32.6°, rel. 67; 2θ = 33.0°, rel. 63; 2θ = 36.2°, rel. 59; 2θ = 39.3°, rel. 40; 2θ = 36.5°, rel. 37; 2θ = 19.1°, rel. 35; 2θ = 59.4°, rel. 30; 2θ = 28.0°, rel. 23; 2θ = 50.1°, rel. 22

---

# 5
Structure and simulated X-ray powder pattern of Tm4Al16Os3 (DFT lattice parameters and positions (GGA-PBE); Cu Kα (λ = 1.5418 Å)).
Intensities are scaled so that the largest is 100.

```
23
Lattice="6.1165 0.0000 0.0000 0.0000 6.1165 0.0000 0.0000 0.0000 11.2414" Properties=species:S:1:pos:R:3 pbc="T T T"
Tm 0.0000 3.0583 2.1380
Tm 0.0000 3.0583 9.1034
Tm 3.0583 0.0000 2.1380
Tm 3.0583 0.0000 9.1034
Al 0.0000 0.0000 2.1870
Al 0.0000 0.0000 9.0543
Al 1.3269 1.3269 0.0000
Al 1.3269 4.7896 0.0000
Al 1.5356 1.5356 4.2875
Al 1.5356 1.5356 6.9539
Al 1.5356 4.5809 4.2875
Al 1.5356 4.5809 6.9539
Al 3.0583 3.0583 2.4509
Al 3.0583 3.0583 8.7905
Al 4.5809 1.5356 4.2875
Al 4.5809 1.5356 6.9539
Al 4.5809 4.5809 4.2875
Al 4.5809 4.5809 6.9539
Al 4.7896 1.3269 0.0000
Al 4.7896 4.7896 0.0000
Os 0.0000 3.0583 5.6207
Os 3.0583 0.0000 5.6207
Os 3.0583 3.0583 0.0000
```

Peak list (12 most intense, 2θ from 5° to 70°, most intense first)
2θ = 31.6°, rel. 100; 2θ = 20.5°, rel. 66; 2θ = 38.0°, rel. 62; 2θ = 29.2°, rel. 53; 2θ = 41.8°, rel. 53; 2θ = 53.3°, rel. 52; 2θ = 22.0°, rel. 25; 2θ = 43.7°, rel. 20; 2θ = 48.6°, rel. 18; 2θ = 69.9°, rel. 18; 2θ = 60.6°, rel. 17; 2θ = 23.7°, rel. 17

---

# 6
Structure and simulated X-ray powder pattern of UAl5Os (DFT lattice parameters and positions (GGA-PBE); Cu Kα (λ = 1.5418 Å)).
Intensities are scaled so that the largest is 100.

```
7
Lattice="4.3258 0.0000 0.0000 0.0000 4.3258 0.0000 0.0000 0.0000 6.8285" Properties=species:S:1:pos:R:3 pbc="T T T"
U 0.0000 0.0000 0.0000
Al 0.0000 2.1629 2.0721
Al 0.0000 2.1629 4.7565
Al 2.1629 0.0000 2.0721
Al 2.1629 0.0000 4.7565
Al 2.1629 2.1629 0.0000
Os 0.0000 0.0000 3.4143
```

Peak list (12 most intense, 2θ from 5° to 70°, most intense first)
2θ = 20.5°, rel. 100; 2θ = 39.6°, rel. 73; 2θ = 33.4°, rel. 61; 2θ = 41.8°, rel. 33; 2θ = 29.2°, rel. 32; 2θ = 54.5°, rel. 31; 2θ = 47.0°, rel. 24; 2θ = 26.1°, rel. 24; 2θ = 49.9°, rel. 17; 2θ = 58.1°, rel. 13; 2θ = 62.3°, rel. 12; 2θ = 60.5°, rel. 11

---

# 7
Structure and simulated X-ray powder pattern of Al5VOs6 (DFT lattice parameters and positions (GGA-PBE); Cu Kα (λ = 1.5418 Å)).
Intensities are scaled so that the largest is 100.

```
12
Lattice="2.1289 -6.3760 0.0000 2.1289 6.3760 0.0000 0.0000 0.0000 6.0702" Properties=species:S:1:pos:R:3 pbc="T T T"
Al 0.0000 0.0000 0.0000
Al 2.1289 2.1242 0.0000
Al 2.1289 2.1280 3.0351
Al 2.1289 -2.1242 0.0000
Al 2.1289 -2.1280 3.0351
V 0.0000 0.0000 3.0351
Os 2.1289 4.2600 1.5201
Os 2.1289 4.2600 4.5502
Os 2.1289 0.0000 1.5191
Os 2.1289 0.0000 4.5511
Os 2.1289 -4.2600 1.5201
Os 2.1289 -4.2600 4.5502
```

Peak list (10 most intense, 2θ from 5° to 70°, most intense first)
2θ = 42.3°, rel. 100; 2θ = 29.7°, rel. 66; 2θ = 42.5°, rel. 49; 2θ = 29.4°, rel. 34; 2θ = 52.5°, rel. 28; 2θ = 69.8°, rel. 18; 2θ = 61.7°, rel. 17; 2θ = 69.4°, rel. 12; 2θ = 61.1°, rel. 9; 2θ = 70.0°, rel. 6

---

# 8
Structure and simulated X-ray powder pattern of Y3Al12Os4 (DFT lattice parameters and positions (GGA-PBE); Cu Kα (λ = 1.5418 Å)).
Intensities are scaled so that the largest is 100.

```
38
Lattice="8.8105 0.0000 0.0000 -4.4053 7.6301 0.0000 0.0000 0.0000 9.6147" Properties=species:S:1:pos:R:3 pbc="T T T"
Y 0.0000 2.9509 2.4037
Y -1.8497 6.1547 2.4037
Y 2.5555 1.4754 7.2110
Y 1.8497 6.1547 2.4037
Y 6.2550 1.4754 7.2110
Y 4.4053 4.6792 7.2110
Al 0.0000 0.0000 2.4037
Al 0.0000 0.0000 7.2110
Al -1.3864 4.2863 7.2110
Al 0.0000 2.4975 5.5298
Al 0.0000 2.4975 8.8922
Al -2.2424 6.3814 5.5298
Al -2.2424 6.3814 8.8922
Al 2.1629 1.2487 0.7225
Al 2.1629 1.2487 4.0849
Al 0.0000 5.0868 0.1767
Al 0.0000 5.0868 4.6306
Al 1.3864 4.2863 7.2110
Al 0.0000 6.6876 7.2110
Al 4.4053 0.9425 2.4037
Al 3.0188 3.3438 2.4037
Al 4.4053 2.5434 4.9840
Al 4.4053 2.5434 9.4380
Al 2.2424 6.3814 5.5298
Al 2.2424 6.3814 8.8922
Al 6.6476 1.2487 0.7225
Al 6.6476 1.2487 4.0849
Al 4.4052 5.1327 0.7225
Al 4.4052 5.1327 4.0849
Al 5.7917 3.3438 2.4037
Os 0.0000 0.0000 0.0000
Os 0.0000 0.0000 4.8073
Os -2.2026 3.8151 0.0000
Os -2.2026 3.8151 4.8073
Os 4.4053 0.0000 0.0000
Os 4.4053 0.0000 4.8073
Os 2.2026 3.8151 0.0000
Os 2.2026 3.8151 4.8073
```

Peak list (12 most intense, 2θ from 5° to 70°, most intense first)
2θ = 29.9°, rel. 100; 2θ = 23.3°, rel. 58; 2θ = 41.0°, rel. 55; 2θ = 44.6°, rel. 31; 2θ = 45.3°, rel. 29; 2θ = 56.7°, rel. 28; 2θ = 18.5°, rel. 26; 2θ = 51.5°, rel. 23; 2θ = 37.4°, rel. 22; 2θ = 36.6°, rel. 22; 2θ = 67.9°, rel. 21; 2θ = 62.9°, rel. 18

---

# 9
Structure and simulated X-ray powder pattern of YbAl10Os2 (DFT lattice parameters and positions (GGA-PBE); Cu Kα (λ = 1.5418 Å)).
Intensities are scaled so that the largest is 100.

```
26
Lattice="4.5683 -5.1261 0.0000 4.5683 5.1261 0.0000 0.0000 0.0000 9.1471" Properties=species:S:1:pos:R:3 pbc="T T T"
Yb 4.5683 3.8486 6.8603
Yb 4.5683 -3.8486 2.2868
Al 2.5540 1.3891 6.8603
Al 4.5683 3.5358 0.9138
Al 4.5683 3.5358 3.6598
Al 3.1731 1.3325 2.2868
Al 2.0347 0.0000 0.0000
Al 2.0347 0.0000 4.5735
Al 4.5683 1.2690 4.9823
Al 4.5683 1.2690 8.7383
Al 2.5540 -1.3891 2.2868
Al 3.1731 -1.3325 6.8603
Al 5.9635 1.3325 2.2868
Al 6.5826 1.3891 6.8603
Al 4.5683 -1.2690 0.4088
Al 4.5683 -1.2690 4.1648
Al 7.1019 0.0000 0.0000
Al 7.1019 0.0000 4.5735
Al 5.9635 -1.3325 6.8603
Al 4.5683 -3.5358 5.4873
Al 4.5683 -3.5358 8.2333
Al 6.5826 -1.3891 2.2868
Os 2.2842 2.5631 0.0000
Os 2.2842 2.5631 4.5735
Os 2.2842 -2.5631 0.0000
Os 2.2842 -2.5631 4.5735
```

Peak list (12 most intense, 2θ from 5° to 70°, most intense first)
2θ = 40.3°, rel. 100; 2θ = 26.1°, rel. 75; 2θ = 27.6°, rel. 72; 2θ = 39.4°, rel. 63; 2θ = 17.3°, rel. 62; 2θ = 32.8°, rel. 41; 2θ = 47.9°, rel. 36; 2θ = 19.4°, rel. 36; 2θ = 57.6°, rel. 34; 2θ = 39.6°, rel. 29; 2θ = 45.1°, rel. 26; 2θ = 57.7°, rel. 25

---

# 10
Structure and simulated X-ray powder pattern of Zr4AlOs3 (DFT lattice parameters and positions (GGA-PBE); Cu Kα (λ = 1.5418 Å)).
Intensities are scaled so that the largest is 100.

```
8
Lattice="3.3202 0.0000 0.0000 0.0000 4.6679 0.0000 0.0000 0.0000 9.3241" Properties=species:S:1:pos:R:3 pbc="T T T"
Zr 0.0000 0.0000 0.0000
Zr 0.0000 0.0000 4.6621
Zr 0.0000 2.3340 2.2599
Zr 0.0000 2.3340 7.0643
Al 1.6601 2.3340 4.6621
Os 1.6601 0.0000 2.3612
Os 1.6601 0.0000 6.9629
Os 1.6601 2.3340 0.0000
```

Peak list (12 most intense, 2θ from 5° to 70°, most intense first)
2θ = 38.5°, rel. 100; 2θ = 38.6°, rel. 49; 2θ = 69.8°, rel. 34; 2θ = 9.5°, rel. 18; 2θ = 69.5°, rel. 17; 2θ = 55.7°, rel. 17; 2θ = 55.3°, rel. 9; 2θ = 19.0°, rel. 8; 2θ = 21.3°, rel. 7; 2θ = 27.0°, rel. 6; 2θ = 33.1°, rel. 4; 2θ = 34.5°, rel. 4

---

# 11
Structure and simulated X-ray powder pattern of ZrAl2Os (DFT lattice parameters and positions (GGA-PBE); Cu Kα (λ = 1.5418 Å)).
Intensities are scaled so that the largest is 100.

```
4
Lattice="3.1854 0.0000 0.0000 0.0000 3.1854 0.0000 0.0000 0.0000 6.5484" Properties=species:S:1:pos:R:3 pbc="T T T"
Zr 0.0000 0.0000 0.0000
Al 0.0000 0.0000 3.5246
Al 1.5927 1.5927 1.9443
Os 1.5927 1.5927 4.7826
```

Peak list (12 most intense, 2θ from 5° to 70°, most intense first)
2θ = 39.5°, rel. 100; 2θ = 13.5°, rel. 92; 2θ = 31.2°, rel. 60; 2θ = 40.0°, rel. 52; 2θ = 42.4°, rel. 23; 2θ = 57.9°, rel. 18; 2θ = 50.7°, rel. 15; 2θ = 58.9°, rel. 14; 2θ = 67.3°, rel. 13; 2θ = 28.0°, rel. 10; 2θ = 41.4°, rel. 10; 2θ = 59.8°, rel. 8

---

# 12
Structure and simulated X-ray powder pattern of ZrAlOs (DFT lattice parameters and positions (GGA-PBE); Cu Kα (λ = 1.5418 Å)).
Intensities are scaled so that the largest is 100.

```
6
Lattice="-2.6234 2.6317 3.6749 2.6234 -2.6317 3.6749 2.6234 2.6317 -3.6749" Properties=species:S:1:pos:R:3 pbc="T T T"
Zr 0.0000 1.3158 0.9041
Zr 2.6234 1.3158 2.7708
Al 2.6234 0.0000 0.0000
Al 0.0000 0.0000 3.6749
Os 1.3117 1.3158 -1.8374
Os 1.3117 -1.3158 1.8374
```

Peak list (12 most intense, 2θ from 5° to 70°, most intense first)
2θ = 40.3°, rel. 100; 2θ = 20.8°, rel. 60; 2θ = 42.3°, rel. 56; 2θ = 40.6°, rel. 50; 2θ = 34.1°, rel. 35; 2θ = 24.2°, rel. 32; 2θ = 65.2°, rel. 24; 2θ = 34.3°, rel. 19; 2θ = 55.4°, rel. 15; 2θ = 61.6°, rel. 14; 2θ = 66.0°, rel. 11; 2θ = 65.4°, rel. 11